Structure and simulated X-ray powder pattern of Mg2Mo3WS8 (a cell relaxed with PBE; Cu Kα, 1.54184 Å).

Structure:
Lattice parameters (Å, degrees): 7.4649 7.4649 17.0724 90.00 90.00 120.00
Space group R3m (No. 160, hexagonal axes)
Unique sites:
1 Mg 0.0000 0.0000 0.0000 (multiplicity 3)
2 Mg 0.0000 0.0000 0.2414 (multiplicity 3)
3 Mo 0.1695 0.3390 0.4556 (multiplicity 9)
4 W 0.0000 0.0000 0.6588 (multiplicity 3)
5 S 0.0000 0.0000 0.3840 (multiplicity 3)
6 S 0.0000 0.0000 0.8648 (multiplicity 3)
7 S 0.0057 0.5028 0.3877 (multiplicity 9)
8 S 0.1908 0.3815 0.2150 (multiplicity 9)

Top 6 peaks for 2θ = 10–90°, by angle:
2theta  Rel. int.  h k l
14.65  100  1 0 1
28.60  47  1 1 3
29.57  28  0 1 5
34.82  68  0 2 4
48.80  36  2 2 0
51.28  26  2 0 8